[1]
For RbTlVO3, a structure optimized by DFT (GGA+U) gives the calculated powder diffraction line list in this record (Cu Kα (weighted mean of Kα1 and Kα2)).
Neutral-atom scattering factors, no anomalous dispersion.

Main lines, by angle (2θ from 5° to 70°):
d (Å), 2θ (°), Rel. int.
4.422, 20.08, 49.3
4.129, 21.52, 59.0
3.331, 26.76, 100.0
3.175, 28.11, 90.0
2.848, 31.41, 90.8
2.688, 33.34, 51.9
2.406, 37.38, 79.8
2.354, 38.24, 49.2
1.866, 48.81, 29.3
1.544, 59.90, 33.5

Structure:
a = 7.2955 Å, b = 7.2955 Å, c = 5.5045 Å
α = 95.77°, β = 95.77°, γ = 124.25°
Element x y z (fractional)
Rb 0.0928 0.9072 0.7500
Rb 0.9072 0.0928 0.2500
Tl 0.2924 0.7076 0.2500
Tl 0.7076 0.2924 0.7500
V 0.4518 0.5482 0.7500
V 0.5482 0.4518 0.2500
O 0.2908 0.3617 0.0155
O 0.3155 0.6845 0.7500
O 0.3617 0.2908 0.5155
O 0.6383 0.7092 0.4845
O 0.6845 0.3155 0.2500
O 0.7092 0.6383 0.9845

[2]
For LiFe6O7F5, a structure optimized by DFT (GGA+U) gives the calculated powder diffraction line list in this record (Cu Kα (weighted mean of Kα1 and Kα2)).
Neutral-atom scattering factors, no anomalous dispersion.

Main lines, by angle (2θ from 5° to 70°):
d (Å), 2θ (°), Rel. int.
5.839, 15.17, 52.6
4.506, 19.70, 33.6
2.861, 31.27, 100.0
2.848, 31.41, 90.2
2.809, 31.86, 63.8
2.751, 32.55, 91.5
2.045, 44.30, 36.1
1.758, 52.02, 32.7
1.721, 53.22, 31.0
1.455, 63.97, 34.0

Structure:
a = 5.8238 Å, b = 6.0352 Å, c = 6.0833 Å
α = 100.32°, β = 99.84°, γ = 98.99°
Element x y z (fractional)
Li 0.0000 0.0000 0.0000
Fe 0.1535 0.3629 0.6134
Fe 0.3027 0.6302 0.1373
Fe 0.4070 0.8724 0.6602
Fe 0.6074 0.1728 0.3538
Fe 0.6819 0.4300 0.8785
Fe 0.8561 0.6694 0.3791
O 0.1965 0.5934 0.4219
O 0.4079 0.1927 0.5929
O 0.4220 0.6231 0.8374
O 0.5773 0.4224 0.1818
O 0.5991 0.8487 0.4138
O 0.8259 0.4362 0.6007
O 0.9377 0.6757 0.0734
F 0.0600 0.8994 0.6765
F 0.1223 0.3142 0.9329
F 0.3287 0.9777 0.1138
F 0.6914 0.0759 0.8908
F 0.9478 0.1372 0.3178